Entry 1:
Structure and calculated XRD peak list of Y2TlOsO8 (a cell relaxed with GGA-PBE; Cu Ka).
Intensities are scaled so that the largest is 100.

Largest 10 diffraction maxima, sorted by position, 2θ from 10° to 90°:
Position (°2θ), I/Imax
17.98, 29
24.99, 55
26.06, 47
31.12, 100
36.42, 26
48.03, 38
49.25, 35
62.26, 20
64.90, 12
75.78, 13

Structure:
abc: 4.938 4.938 7.069
angles: 90.00 90.00 92.36
Positions (direct):
Y 0.000 0.000 0.248
Y 0.000 0.000 0.752
Tl 0.500 0.500 0.500
Os 0.500 0.500 0.000
O 0.196 0.196 0.500
O 0.223 0.223 0.000
O 0.316 0.684 0.196
O 0.316 0.684 0.804
O 0.684 0.316 0.196
O 0.684 0.316 0.804
O 0.777 0.777 0.000
O 0.804 0.804 0.500



Entry 2:
Structure and calculated XRD peak list of ZrTlOs2O8 (a cell relaxed with GGA-PBE; Cu Ka).
Intensities are scaled so that the largest is 100.

Largest 10 diffraction maxima, sorted by position, 2θ from 10° to 90°:
Position (°2θ), I/Imax
20.91, 100
28.98, 72
30.47, 68
37.24, 14
39.13, 17
42.55, 30
48.85, 21
53.23, 27
56.97, 26
71.22, 16

Structure:
abc: 5.868 5.868 7.747
angles: 90.00 90.00 120.00
Positions (direct):
Zr 0.000 0.000 0.000
Tl 0.000 0.000 0.500
Os 0.333 0.667 0.254
Os 0.667 0.333 0.746
O 0.166 0.334 0.160
O 0.168 0.834 0.160
O 0.333 0.667 0.482
O 0.334 0.168 0.840
O 0.666 0.832 0.160
O 0.667 0.333 0.518
O 0.832 0.166 0.840
O 0.834 0.666 0.840



Entry 3:
Structure and calculated XRD peak list of Tm3OsO7 (a cell relaxed with GGA-PBE; Cu Ka).
Intensities are scaled so that the largest is 100.

Largest 10 diffraction maxima, sorted by position, 2θ from 10° to 90°:
Position (°2θ), I/Imax
29.55, 100
29.88, 98
34.40, 49
34.55, 23
49.01, 13
49.55, 55
49.87, 16
58.47, 25
58.86, 12
59.04, 41

Structure:
abc: 6.386 6.386 7.314
angles: 90.00 90.00 108.80
Positions (direct):
Tm 0.025 0.025 0.000
Tm 0.034 0.500 0.255
Tm 0.500 0.034 0.745
Tm 0.500 0.966 0.245
Tm 0.966 0.500 0.755
Tm 0.975 0.975 0.500
Os 0.500 0.500 0.000
Os 0.500 0.500 0.500
O 0.131 0.869 0.750
O 0.138 0.862 0.250
O 0.172 0.418 0.974
O 0.184 0.437 0.536
O 0.418 0.172 0.026
O 0.425 0.575 0.250
O 0.437 0.184 0.464
O 0.563 0.816 0.964
O 0.575 0.425 0.750
O 0.582 0.828 0.526
O 0.816 0.563 0.036
O 0.828 0.582 0.474
O 0.862 0.138 0.750
O 0.869 0.131 0.250